[1]
Simulated powder XRD pattern
Compound: Ba4Sr5
Radiation: Cu Ka
Structure: a DFT-relaxed cell (PBE, Alexandria)
Peak positions follow from Bragg's law for the DFT cell and can differ from measured ones.

Structure:
```
data_Ba4Sr5
_chemical_formula_sum 'Ba4 Sr5'
_space_group_name_H-M_alt 'P 1'
_space_group_IT_number 1
_cell_length_a 9.689
_cell_length_b 9.689
_cell_length_c 9.689
_cell_angle_alpha 96.08
_cell_angle_beta 96.08
_cell_angle_gamma 142.02
loop_
_space_group_symop_operation_xyz
'x,y,z'
loop_
_atom_site_label
_atom_site_type_symbol
_atom_site_fract_x
_atom_site_fract_y
_atom_site_fract_z
_atom_site_occupancy
Ba1 Ba 0.000 0.328 0.328 1
Ba2 Ba 0.000 0.672 0.672 1
Ba3 Ba 0.328 0.000 0.328 1
Ba4 Ba 0.672 0.000 0.672 1
Sr1 Sr 0.000 0.000 0.000 1
Sr2 Sr 0.335 0.335 0.671 1
Sr3 Sr 0.335 0.665 0.000 1
Sr4 Sr 0.665 0.335 0.000 1
Sr5 Sr 0.665 0.665 0.329 1
```

Largest 10 diffraction maxima, in order of rising 2θ, 10 to 80 degrees two-theta:
| Position (°2θ) | Rel. int. |
| --- | --- |
| 24.99 | 1000 |
| 28.31 | 183 |
| 29.24 | 335 |
| 41.15 | 262 |
| 41.83 | 124 |
| 48.15 | 166 |
| 49.35 | 305 |
| 51.28 | 136 |
| 65.65 | 130 |
| 75.93 | 85 |

=====

[2]
Simulated powder XRD pattern
Compound: BaSr3
Radiation: Cu Ka
Structure: a DFT-relaxed cell (PBE, Alexandria)
Peak positions follow from Bragg's law for the DFT cell and can differ from measured ones.

Structure:
```
data_BaSr3
_chemical_formula_sum 'Ba1 Sr3'
_space_group_name_H-M_alt 'P 1'
_space_group_IT_number 1
_cell_length_a 4.158
_cell_length_b 6.811
_cell_length_c 7.972
_cell_angle_alpha 90.00
_cell_angle_beta 99.81
_cell_angle_gamma 90.00
loop_
_space_group_symop_operation_xyz
'x,y,z'
loop_
_atom_site_label
_atom_site_type_symbol
_atom_site_fract_x
_atom_site_fract_y
_atom_site_fract_z
_atom_site_occupancy
Ba1 Ba 0.000 0.000 0.000 1
Sr1 Sr 0.252 0.500 0.748 1
Sr2 Sr 0.500 0.000 0.500 1
Sr3 Sr 0.748 0.500 0.252 1
```

Largest 10 diffraction maxima, in order of rising 2θ, 10 to 80 degrees two-theta:
| Position (°2θ) | Rel. int. |
| --- | --- |
| 26.20 | 1000 |
| 37.36 | 130 |
| 37.48 | 64 |
| 46.20 | 246 |
| 46.29 | 175 |
| 53.88 | 89 |
| 60.86 | 123 |
| 61.03 | 61 |
| 73.62 | 106 |
| 73.76 | 88 |